No. 1
This entry pairs a crystal structure of BaH16O10 with its theoretical powder diffraction line list. Radiation: λ = 1.5418 Å (Cu Kα). Structure: a PBE-relaxed structure.

Peak list (10 most intense, 2θ = 10–90°, in order of rising 2θ)
| 2theta | intensity |
| --- | --- |
| 13.2 | 88 |
| 13.5 | 67 |
| 15.5 | 100 |
| 18.2 | 57 |
| 20.6 | 57 |
| 24.1 | 50 |
| 24.9 | 50 |
| 25.4 | 50 |
| 31.2 | 41 |
| 36.9 | 39 |

Unit cell a=6.574 b=6.721 c=11.433 alpha=90.96 beta=90.52 gamma=94.33
Space group P1 (No. 1)
Inequivalent atoms, fractional coordinates:
Ba  0.000  0.000  0.000
Ba  0.015  0.025  0.504
H  0.047  0.569  0.370
H  0.067  0.612  0.649
H  0.103  0.374  0.231
H  0.214  0.267  0.781
H  0.255  0.813  0.230
H  0.261  0.789  0.796
H  0.269  0.659  0.400
H  0.283  0.382  0.898
H  0.298  0.414  0.141
H  0.302  0.655  0.624
H  0.320  0.202  0.289
H  0.404  0.326  0.620
H  0.407  0.946  0.145
H  0.423  0.651  0.948
H  0.445  0.926  0.860
H  0.446  0.099  0.645
H  0.459  0.400  0.429
H  0.481  0.075  0.358
H  0.580  0.267  0.089
H  0.599  0.092  0.997
H  0.606  0.769  0.393
H  0.619  0.790  0.628
H  0.641  0.184  0.833
H  0.683  0.639  0.126
H  0.683  0.959  0.729
H  0.712  0.851  0.280
H  0.748  0.462  0.613
H  0.752  0.577  0.906
H  0.802  0.368  0.355
H  0.909  0.663  0.190
H  0.910  0.418  0.518
H  0.973  0.518  0.869
O  0.141  0.704  0.367
O  0.161  0.311  0.858
O  0.179  0.722  0.653
O  0.186  0.315  0.170
O  0.274  0.866  0.151
O  0.314  0.837  0.874
O  0.336  0.193  0.645
O  0.376  0.173  0.369
O  0.494  0.524  0.958
O  0.494  0.543  0.454
O  0.504  0.541  0.584
O  0.519  0.500  0.086
O  0.607  0.121  0.084
O  0.662  0.049  0.857
O  0.665  0.896  0.359
O  0.675  0.930  0.640
O  0.801  0.742  0.162
O  0.890  0.419  0.606
O  0.893  0.631  0.889
O  0.944  0.364  0.379


No. 2
This entry pairs a crystal structure of BaH4O3 with its theoretical powder diffraction line list. Radiation: λ = 1.5418 Å (Cu Kα). Structure: a PBE-relaxed structure.

Peak list (10 most intense, 2θ = 10–90°, in order of rising 2θ)
| 2theta | intensity |
| --- | --- |
| 13.9 | 48 |
| 18.8 | 100 |
| 22.3 | 46 |
| 25.4 | 52 |
| 29.1 | 39 |
| 29.5 | 30 |
| 30.8 | 52 |
| 34.1 | 53 |
| 38.1 | 41 |
| 38.6 | 33 |

Unit cell a=3.989 b=7.007 c=6.388 alpha=90.00 beta=90.80 gamma=90.00
Space group P2_1 (No. 4)
Inequivalent atoms, fractional coordinates:
Ba  0.004  0.000  0.344
H  0.196  0.957  0.873
H  0.206  0.458  0.127
H  0.480  0.311  0.396
H  0.497  0.167  0.991
O  0.008  0.407  0.209
O  0.495  0.239  0.526
O  0.498  0.032  0.031


No. 3
This entry pairs a crystal structure of BaH4O3 with its theoretical powder diffraction line list. Radiation: λ = 1.5418 Å (Cu Kα). Structure: a PBE-relaxed structure.

Peak list (10 most intense, 2θ = 10–90°, in order of rising 2θ)
| 2theta | intensity |
| --- | --- |
| 13.8 | 65 |
| 18.7 | 100 |
| 22.6 | 50 |
| 25.3 | 58 |
| 26.6 | 34 |
| 29.5 | 69 |
| 30.6 | 64 |
| 34.2 | 54 |
| 37.0 | 56 |
| 38.4 | 87 |

Unit cell a=3.938 b=6.419 c=7.043 alpha=90.00 beta=90.00 gamma=90.00
Space group Pmc2_1 (No. 26)
Inequivalent atoms, fractional coordinates:
Ba  0.000  0.143  0.000
H  0.201  0.376  0.565
H  0.500  0.195  0.355
H  0.500  0.484  0.845
O  0.000  0.294  0.616
O  0.500  0.064  0.284
O  0.500  0.467  0.983


No. 4
This entry pairs a crystal structure of BaH16O10 with its theoretical powder diffraction line list. Radiation: λ = 1.5418 Å (Cu Kα). Structure: a PBE-relaxed structure.

Peak list (10 most intense, 2θ = 10–90°, in order of rising 2θ)
| 2theta | intensity |
| --- | --- |
| 13.7 | 100 |
| 14.9 | 88 |
| 19.2 | 39 |
| 19.8 | 34 |
| 20.0 | 25 |
| 24.2 | 37 |
| 24.5 | 76 |
| 25.1 | 36 |
| 31.4 | 35 |
| 35.6 | 31 |

Unit cell a=6.441 b=6.462 c=11.933 alpha=91.62 beta=90.61 gamma=91.63
Space group P1 (No. 1)
Inequivalent atoms, fractional coordinates:
Ba  0.000  0.000  0.000
Ba  0.014  0.980  0.502
H  0.039  0.455  0.879
H  0.053  0.522  0.375
H  0.062  0.555  0.643
H  0.075  0.374  0.191
H  0.270  0.391  0.906
H  0.275  0.770  0.802
H  0.286  0.389  0.120
H  0.288  0.585  0.403
H  0.298  0.597  0.615
H  0.318  0.869  0.213
H  0.380  0.065  0.692
H  0.401  0.700  0.910
H  0.404  0.270  0.618
H  0.404  0.717  0.116
H  0.405  0.254  0.402
H  0.468  0.023  0.378
H  0.541  0.029  0.874
H  0.568  0.045  0.140
H  0.600  0.265  0.903
H  0.610  0.696  0.408
H  0.612  0.280  0.114
H  0.624  0.701  0.620
H  0.638  0.936  0.674
H  0.714  0.596  0.910
H  0.715  0.794  0.299
H  0.716  0.611  0.122
H  0.726  0.381  0.412
H  0.732  0.392  0.616
H  0.807  0.254  0.306
H  0.808  0.701  0.800
H  0.875  0.307  0.715
H  0.954  0.632  0.171
O  0.130  0.334  0.881
O  0.155  0.639  0.372
O  0.156  0.303  0.135
O  0.170  0.668  0.643
O  0.317  0.142  0.632
O  0.335  0.826  0.873
O  0.342  0.859  0.133
O  0.347  0.114  0.377
O  0.507  0.499  0.953
O  0.508  0.503  0.079
O  0.519  0.491  0.577
O  0.521  0.486  0.452
O  0.656  0.133  0.870
O  0.668  0.832  0.375
O  0.682  0.151  0.139
O  0.721  0.816  0.654
O  0.830  0.711  0.156
O  0.848  0.656  0.875
O  0.858  0.316  0.379
O  0.874  0.333  0.635